The following is a calculated powder XRD pattern of Pm2MgSi. It was derived from a GGA-PBE-relaxed structure, using Cu Kα (weighted mean of Kα1 and Kα2).
Intensities are scaled so that the largest is 100.

Structure:
```
Pm2MgSi
1.0
0.000 3.686 3.686
3.686 0.000 3.686
3.686 3.686 0.000
Pm Mg Si
2 1 1
direct
0.250 0.250 0.250 Pm
0.750 0.750 0.750 Pm
0.000 0.000 0.000 Mg
0.500 0.500 0.500 Si
```

The 10 most intense peaks (2θ from 10° to 90°), low angle first:
- 2θ = 24.1°, intensity 58
- 2θ = 34.4°, intensity 100
- 2θ = 42.5°, intensity 18
- 2θ = 49.5°, intensity 18
- 2θ = 55.8°, intensity 24
- 2θ = 61.6°, intensity 37
- 2θ = 72.5°, intensity 11
- 2θ = 77.7°, intensity 11
- 2θ = 82.8°, intensity 16
- 2θ = 87.9°, intensity 7